No. 1
Computed X-ray powder pattern
Compound: Y7Er2Tm3
Radiation: Cu Kα X-rays
Structure: a DFT-relaxed cell (GGA-PBE, Alexandria)
Lines closer than 0.1° are merged.

Atomic structure:
abc: 6.3031 3.5006 17.3435
angles: 90.00 96.09 90.00
Space group P2/m (No. 10)
Unique sites:
Y 0.0000 0.0000 0.0000 [1 per cell]
Y 0.2247 0.5000 0.1698 [2 per cell]
Y 0.2556 0.5000 0.4978 [2 per cell]
Y 0.2763 0.0000 0.8338 [2 per cell]
Er 0.0616 0.5000 0.6726 [2 per cell]
Tm 0.4495 0.0000 0.3426 [2 per cell]
Tm 0.5000 0.5000 0.0000 [1 per cell]

Largest 8 diffraction maxima, by angle, 5 to 70 degrees two-theta:
Position (°2θ)  d [Å]  I (rel.)
29.95  2.983  266
31.07  2.878  1000
31.56  2.835  623
34.00  2.637  400
35.10  2.556  508
50.68  1.801  234
53.28  1.719  204
60.26  1.536  232


No. 2
Computed X-ray powder pattern
Compound: Tm2Zn3Cu12Ni
Radiation: Cu Kα X-rays
Structure: a DFT-relaxed cell (GGA-PBE, Alexandria)
Lines closer than 0.1° are merged.

Atomic structure:
abc: 5.1529 5.1529 35.4001
angles: 90.00 90.00 120.00
Space group R-3m (No. 166, hexagonal axes)
Unique sites:
Tm 0.0000 0.0000 0.1453 [6 per cell]
Zn 0.0000 0.5000 0.0000 [9 per cell]
Cu 0.0020 0.5010 0.1112 [18 per cell]
Cu 0.0129 0.5065 0.6104 [18 per cell]
Ni 0.0000 0.0000 0.5000 [3 per cell]

Largest 8 diffraction maxima, by angle, 5 to 70 degrees two-theta:
Position (°2θ)  d [Å]  I (rel.)
7.49  11.800  558
32.28  2.773  711
35.67  2.517  679
38.12  2.361  439
41.03  2.200  390
41.75  2.164  692
45.53  1.992  1000
48.22  1.887  411


No. 3
Computed X-ray powder pattern
Compound: YPu5Au6
Radiation: Cu Kα X-rays
Structure: a DFT-relaxed cell (GGA-PBE, Alexandria)
Lines closer than 0.1° are merged.

Atomic structure:
abc: 16.0468 7.4133 5.1163
angles: 90.00 108.59 90.00
Space group C2/m (No. 12)
Unique sites:
Y 0.0000 0.0000 0.0000 [2 per cell]
Pu 0.0000 0.5000 0.0000 [2 per cell]
Pu 0.1540 0.5000 0.6530 [4 per cell]
Pu 0.1744 0.0000 0.6734 [4 per cell]
Au 0.0000 0.2234 0.5000 [4 per cell]
Au 0.1674 0.2366 0.1660 [8 per cell]

Largest 8 diffraction maxima, by angle, 5 to 70 degrees two-theta:
Position (°2θ)  d [Å]  I (rel.)
34.73  2.583  1000
35.08  2.558  254
35.41  2.535  233
49.16  1.853  89
50.70  1.801  173
61.82  1.501  91
62.71  1.482  187
63.14  1.473  163


No. 4
Computed X-ray powder pattern
Compound: RbNpUSe4
Radiation: Cu Kα X-rays
Structure: a DFT-relaxed cell (GGA-PBE, Alexandria)
Lines closer than 0.1° are merged.

Atomic structure:
abc: 8.8437 8.9493 12.4947
angles: 90.00 90.00 90.00
Space group Imma (No. 74)
Unique sites:
Rb 0.0000 0.2500 0.1260 [4 per cell]
Np 0.0000 0.0000 0.5000 [4 per cell]
U 0.2500 0.2500 0.7500 [4 per cell]
Se 0.0000 0.0450 0.7322 [8 per cell]
Se 0.2090 0.2500 0.5227 [8 per cell]

Largest 8 diffraction maxima, by angle, 5 to 70 degrees two-theta:
Position (°2θ)  d [Å]  I (rel.)
12.21  7.248  1000
23.39  3.803  312
23.57  3.775  616
28.38  3.145  571
28.58  3.124  284
37.06  2.426  257
37.38  2.406  247
40.71  2.216  644